(1)
Structure and calculated powder diffraction line list of Cr2FeCo2 (the PBE geometry in Alexandria; CuKα).

Largest 10 diffraction maxima, sorted by position, 2θ from 10° to 90°:
2θ/deg  intensity
38.3  15.3
43.0  71.0
45.1  29.6
47.2  100.0
49.4  15.1
57.0  10.7
62.3  8.5
75.3  8.3
83.4  13.8
88.1  12.4

Structure:
a b c (Å): 6.649 6.649 2.526
angles (deg): 90.00 90.00 90.00
Fractional positions:
Cr: 0.173 0.327 0.000
Cr: 0.327 0.827 0.000
Cr: 0.673 0.173 0.000
Cr: 0.827 0.673 0.000
Fe: 0.000 0.000 0.500
Fe: 0.500 0.500 0.500
Co: 0.126 0.626 0.500
Co: 0.374 0.126 0.500
Co: 0.626 0.874 0.500
Co: 0.874 0.374 0.500

---

(2)
Structure and calculated powder diffraction line list of La2Tb2Th15 (the PBE geometry in Alexandria; CuKα).

Largest 10 diffraction maxima, sorted by position, 2θ from 10° to 90°:
2θ/deg  intensity
15.4  21.7
26.8  17.0
31.0  100.0
31.3  28.0
34.8  71.1
35.0  21.2
50.0  17.0
55.1  22.2
55.5  17.9
64.8  19.2

Structure:
a b c (Å): 8.782 8.782 8.782
angles (deg): 82.16 82.16 82.16
Fractional positions:
La: 0.107 0.107 0.107
La: 0.893 0.893 0.893
Tb: 0.363 0.363 0.363
Tb: 0.637 0.637 0.637
Th: 0.000 0.000 0.500
Th: 0.000 0.320 0.680
Th: 0.000 0.500 0.000
Th: 0.000 0.680 0.320
Th: 0.182 0.661 0.661
Th: 0.320 0.000 0.680
Th: 0.320 0.680 0.000
Th: 0.339 0.339 0.818
Th: 0.339 0.818 0.339
Th: 0.500 0.000 0.000
Th: 0.661 0.182 0.661
Th: 0.661 0.661 0.182
Th: 0.680 0.000 0.320
Th: 0.680 0.320 0.000
Th: 0.818 0.339 0.339

---

(3)
Structure and calculated powder diffraction line list of PrYErCu (the PBE geometry in Alexandria; CuKα).

Largest 10 diffraction maxima, sorted by position, 2θ from 10° to 90°:
2θ/deg  intensity
10.1  13.3
27.3  31.0
30.6  17.0
32.6  100.0
36.1  51.6
40.1  9.6
48.0  19.6
51.9  18.0
58.8  12.0
62.7  29.8

Structure:
a b c (Å): 3.523 3.523 8.773
angles (deg): 90.00 90.00 90.00
Fractional positions:
Pr: 0.000 0.000 0.000
Y: 0.500 0.500 0.687
Er: 0.500 0.500 0.307
Cu: 0.000 0.000 0.490

---

(4)
Structure and calculated powder diffraction line list of RbNpTlSe3 (the PBE geometry in Alexandria; CuKα).

Largest 10 diffraction maxima, sorted by position, 2θ from 10° to 90°:
2θ/deg  intensity
10.3  30.9
12.6  29.2
21.6  20.7
24.9  21.1
27.5  48.4
27.9  100.0
37.4  29.0
37.9  34.7
41.2  32.1
42.2  18.3

Structure:
a b c (Å): 8.590 4.281 11.022
angles (deg): 90.00 94.95 90.00
Fractional positions:
Rb: 0.089 0.250 0.174
Rb: 0.911 0.750 0.826
Np: 0.416 0.250 0.839
Np: 0.584 0.750 0.161
Tl: 0.252 0.750 0.516
Tl: 0.748 0.250 0.484
Se: 0.145 0.250 0.691
Se: 0.309 0.750 0.989
Se: 0.465 0.250 0.293
Se: 0.535 0.750 0.707
Se: 0.691 0.250 0.011
Se: 0.855 0.750 0.309

---

(5)
Structure and calculated powder diffraction line list of Nd6Al3Zn (the PBE geometry in Alexandria; CuKα).

Largest 10 diffraction maxima, sorted by position, 2θ from 10° to 90°:
2θ/deg  intensity
23.3  54.3
23.8  26.4
32.0  37.7
33.4  92.6
33.7  100.0
34.2  58.7
36.4  20.6
47.5  28.8
48.8  17.3
60.9  31.7

Structure:
a b c (Å): 9.367 5.248 11.752
angles (deg): 90.00 108.68 90.00
Fractional positions:
Nd: 0.038 0.250 0.412
Nd: 0.161 0.750 0.169
Nd: 0.250 0.250 0.998
Nd: 0.340 0.750 0.809
Nd: 0.373 0.250 0.352
Nd: 0.393 0.250 0.631
Nd: 0.607 0.750 0.369
Nd: 0.627 0.750 0.648
Nd: 0.660 0.250 0.191
Nd: 0.750 0.750 0.002
Nd: 0.839 0.250 0.831
Nd: 0.962 0.750 0.588
Al: 0.033 0.750 0.875
Al: 0.113 0.250 0.719
Al: 0.268 0.750 0.470
Al: 0.732 0.250 0.530
Al: 0.887 0.750 0.281
Al: 0.967 0.250 0.125
Zn: 0.460 0.750 0.093
Zn: 0.540 0.250 0.907

---

(6)
Structure and calculated powder diffraction line list of U6CoC5 (the PBE geometry in Alexandria; CuKα).

Largest 10 diffraction maxima, sorted by position, 2θ from 10° to 90°:
2θ/deg  intensity
28.5  34.5
29.7  100.0
32.6  34.3
37.8  79.6
43.8  32.6
50.5  40.2
50.8  18.9
61.4  32.9
66.6  17.7
89.6  16.5

Structure:
a b c (Å): 6.264 6.264 10.988
angles (deg): 90.00 90.00 120.00
Fractional positions:
U: 0.000 0.353 0.119
U: 0.000 0.353 0.381
U: 0.000 0.647 0.619
U: 0.000 0.647 0.881
U: 0.353 0.000 0.119
U: 0.353 0.000 0.381
U: 0.353 0.353 0.619
U: 0.353 0.353 0.881
U: 0.647 0.000 0.619
U: 0.647 0.000 0.881
U: 0.647 0.647 0.119
U: 0.647 0.647 0.381
Co: 0.000 0.000 0.250
Co: 0.000 0.000 0.750
C: 0.000 0.328 0.750
C: 0.000 0.672 0.250
C: 0.328 0.000 0.750
C: 0.328 0.328 0.250
C: 0.333 0.667 0.000
C: 0.333 0.667 0.500
C: 0.667 0.333 0.000
C: 0.667 0.333 0.500
C: 0.672 0.000 0.250
C: 0.672 0.672 0.750

---

(7)
Structure and calculated powder diffraction line list of NaCa2Mg2In5 (the PBE geometry in Alexandria; CuKα).

Largest 10 diffraction maxima, sorted by position, 2θ from 10° to 90°:
2θ/deg  intensity
19.7  65.0
25.9  23.3
27.0  27.2
32.7  100.0
34.0  57.1
35.8  54.0
39.6  26.9
40.0  33.1
53.5  29.7
63.9  21.1

Structure:
a b c (Å): 10.879 10.879 4.509
angles (deg): 90.00 90.00 90.00
Fractional positions:
Na: 0.000 0.000 0.000
Na: 0.500 0.500 0.000
Ca: 0.177 0.323 0.000
Ca: 0.323 0.823 0.000
Ca: 0.677 0.177 0.000
Ca: 0.823 0.677 0.000
Mg: 0.119 0.619 0.000
Mg: 0.381 0.119 0.000
Mg: 0.619 0.881 0.000
Mg: 0.881 0.381 0.000
In: 0.000 0.500 0.500
In: 0.067 0.797 0.500
In: 0.203 0.067 0.500
In: 0.297 0.567 0.500
In: 0.433 0.297 0.500
In: 0.500 0.000 0.500
In: 0.567 0.703 0.500
In: 0.703 0.433 0.500
In: 0.797 0.933 0.500
In: 0.933 0.203 0.500

---

(8)
Structure and calculated powder diffraction line list of Na2SiBiBO7 (the PBE geometry in Alexandria; CuKα).

Largest 10 diffraction maxima, sorted by position, 2θ from 10° to 90°:
2θ/deg  intensity
15.8  100.0
19.1  33.8
20.8  59.9
22.5  28.3
23.8  52.4
25.4  27.4
26.0  34.4
32.5  26.5
35.7  25.8
42.9  24.4

Structure:
a b c (Å): 5.485 6.859 9.682
angles (deg): 90.00 93.71 90.00
Fractional positions:
Na: 0.239 0.001 0.310
Na: 0.239 0.499 0.310
Na: 0.761 0.501 0.690
Na: 0.761 0.999 0.690
Si: 0.265 0.250 0.932
Si: 0.735 0.750 0.068
Bi: 0.214 0.750 0.852
Bi: 0.786 0.250 0.148
B: 0.266 0.750 0.583
B: 0.734 0.250 0.417
O: 0.038 0.750 0.645
O: 0.154 0.250 0.086
O: 0.173 0.062 0.838
O: 0.173 0.438 0.838
O: 0.304 0.750 0.450
O: 0.430 0.750 0.044
O: 0.464 0.750 0.691
O: 0.536 0.250 0.309
O: 0.570 0.250 0.956
O: 0.696 0.250 0.550
O: 0.827 0.562 0.162
O: 0.827 0.938 0.162
O: 0.846 0.750 0.914
O: 0.962 0.250 0.355